1.
# ErLu6Ir2S2
Theoretical XRD peak list, Cu Kα, 1.54184 Å. Input: DFT lattice parameters and positions (GGA-PBE).
Lines closer than 0.1° are merged.

```
ErLu6Ir2S2
1.0
-1.9102 7.2636 4.4528
1.9102 -7.2636 4.4528
1.9102 7.2636 -4.4528
Er Lu Ir S
1 6 2 2
direct
0.0000 0.0000 0.0000 Er
0.0544 0.3729 0.6815 Lu
0.1104 0.7478 0.3626 Lu
0.3852 0.7478 0.6374 Lu
0.4684 0.5889 0.8795 Lu
0.6914 0.3729 0.3185 Lu
0.7094 0.5889 0.1205 Lu
0.3131 0.0738 0.2393 Ir
0.8344 0.0738 0.7607 Ir
0.3441 0.3441 0.0000 S
0.7455 0.2455 0.5000 S
```

Main lines, by angle (5° ≤ 2θ ≤ 70°):
2θ (°)	Rel. int.
12.19	33
30.74	13
31.46	39
32.41	22
35.54	100
36.11	29
38.40	18
40.45	24
42.49	17
47.61	23

=====

2.
# Er3Lu4Te2Ir2
Theoretical XRD peak list, Cu Kα, 1.54184 Å. Input: DFT lattice parameters and positions (GGA-PBE).
Lines closer than 0.1° are merged.

```
Er3Lu4Te2Ir2
1.0
-1.9461 7.7479 4.6779
1.9461 -7.7479 4.6779
1.9461 7.7479 -4.6779
Er Lu Te Ir
3 4 2 2
direct
0.0000 0.0000 0.0000 Er
0.0552 0.3703 0.6849 Er
0.6854 0.3703 0.3151 Er
0.0833 0.7301 0.3532 Lu
0.3768 0.7301 0.6468 Lu
0.4490 0.5814 0.8676 Lu
0.7138 0.5814 0.1324 Lu
0.3372 0.3372 0.0000 Te
0.7336 0.2336 0.5000 Te
0.3100 0.0718 0.2383 Ir
0.8335 0.0718 0.7617 Ir
```

Main lines, by angle (5° ≤ 2θ ≤ 70°):
2θ (°)	Rel. int.
11.42	23
28.72	11
30.41	54
33.57	45
34.03	100
34.66	47
36.93	21
38.78	24
46.67	26
58.69	24

=====

3.
# Er4Lu3Te2Ir2
Theoretical XRD peak list, Cu Kα, 1.54184 Å. Input: DFT lattice parameters and positions (GGA-PBE).
Lines closer than 0.1° are merged.

```
Er4Lu3Te2Ir2
1.0
-1.9504 7.7625 4.6884
1.9504 -7.7625 4.6884
1.9504 7.7625 -4.6884
Er Lu Te Ir
4 3 2 2
direct
0.1461 0.0000 0.1461 Er
0.4556 0.6399 0.8157 Er
0.8242 0.6399 0.1843 Er
0.8539 0.0000 0.8539 Er
0.2187 0.8511 0.3676 Lu
0.4835 0.8511 0.6324 Lu
0.7690 0.2690 0.5000 Lu
0.1073 0.6073 0.5000 Te
0.5033 0.5033 0.0000 Te
0.0789 0.3402 0.7387 Ir
0.6015 0.3402 0.2613 Ir
```

Main lines, by angle (5° ≤ 2θ ≤ 70°):
2θ (°)	Rel. int.
11.40	21
28.66	11
30.35	55
33.49	44
33.96	100
34.59	47
36.85	21
38.70	24
46.57	26
58.55	24

=====

4.
# NdEr2Mg3Ir3
Theoretical XRD peak list, Cu Kα, 1.54184 Å. Input: DFT lattice parameters and positions (GGA-PBE).
Lines closer than 0.1° are merged.

```
NdEr2Mg3Ir3
1.0
4.0717 0.0000 0.0000
0.0000 6.3216 3.6331
0.0000 -6.3216 3.6331
Nd Er Mg Ir
1 2 3 3
direct
0.0000 0.0000 0.0000 Nd
0.0000 0.4128 0.8206 Er
0.0000 0.8206 0.4128 Er
0.5000 0.1695 0.4155 Mg
0.5000 0.4155 0.1695 Mg
0.5000 0.6562 0.6562 Mg
0.0000 0.4193 0.4193 Ir
0.5000 0.0830 0.7401 Ir
0.5000 0.7401 0.0830 Ir
```

Main lines, by angle (5° ≤ 2θ ≤ 70°):
2θ (°)	Rel. int.
24.44	52
26.05	28
33.00	70
36.03	100
43.08	26
43.97	27
44.50	24
51.42	14
63.66	17
68.78	18